Computed PXRD pattern of CuP3O9 for λ = 1.5418 Å (Cu Kα), from DFT lattice parameters and positions (GGA-PBE).

Cell: 8.3829 8.4997 8.5827 Å, 90.00 90.00 90.00°
Space group P2_12_12_1 (No. 19)
Unique sites:
Cu1 0.1314 0.1451 0.3496
P1 0.0351 0.6782 0.8147
P2 0.1761 0.5153 0.3085
P3 0.2088 0.1879 0.9451
O1 0.0469 0.2213 0.8472
O2 0.0888 0.3760 0.3754
O3 0.0978 0.1234 0.5787
O4 0.1039 0.6022 0.1720
O5 0.1365 0.8140 0.8705
O6 0.1456 0.5342 0.7582
O7 0.1595 0.1478 0.1074
O8 0.1798 0.9158 0.3519
O9 0.2132 0.6381 0.4467

Peak list (10 most intense, 10 to 90 degrees two-theta, by angle)
- hkl 1 1 1, 18.1°, intensity 23
- hkl 1 0 2, 23.3°, intensity 100
- hkl 1 2 0, 23.5°, intensity 73
- hkl 2 1 0, 23.7°, intensity 30
- hkl 1 1 2, 25.6°, intensity 18
- hkl 1 2 1, 25.7°, intensity 16
- hkl 2 1 1, 25.9°, intensity 31
- hkl 0 1 3, 33.0°, intensity 29
- hkl 1 3 0, 33.4°, intensity 41
- hkl 3 0 1, 33.7°, intensity 30

---

Computed PXRD pattern of Cu2P3O10 for λ = 1.5418 Å (Cu Kα), from DFT lattice parameters and positions (GGA-PBE).

Cell: 4.7692 8.3097 9.1894 Å, 90.00 102.38 90.00°
Space group P2_1/m (No. 11)
Unique sites:
Cu1 0.0696 0.0650 0.3224
P1 0.3184 0.2500 0.8205
P2 0.4077 0.7500 0.4490
P3 0.4891 0.2500 0.1487
O1 0.1541 0.0945 0.8051
O2 0.1929 0.7500 0.7592
O3 0.2447 0.5960 0.4703
O4 0.2879 0.2500 0.4459
O5 0.3347 0.0959 0.1739
O6 0.4479 0.7500 0.2813
O7 0.4646 0.7500 0.0206

Peak list (10 most intense, 10 to 90 degrees two-theta, by angle)
- hkl 0 0 2, 19.8°, intensity 41
- hkl 1 0 1, 23.3°, intensity 24
- hkl 1 0 -2, 24.4°, intensity 79
- hkl 1 1 1, 25.7°, intensity 22
- hkl 1 2 0, 28.8°, intensity 100
- hkl 1 0 -3, 31.9°, intensity 51
- hkl 1 1 2, 32.4°, intensity 42
- hkl 0 3 1, 33.9°, intensity 25
- hkl 0 2 3, 37.0°, intensity 21
- hkl 1 3 2, 45.0°, intensity 31

---

Computed PXRD pattern of Cu5P3O13 for λ = 1.5418 Å (Cu Kα), from DFT lattice parameters and positions (GGA-PBE).

Cell: 6.1860 8.0931 9.9556 Å, 92.14 90.24 90.06°
Space group P-1 (No. 2)
Unique sites:
Cu1 0.0005 0.1358 0.2777
Cu2 0.2452 0.1502 0.5783
Cu3 0.2491 0.2285 0.9612
Cu4 0.2530 0.4286 0.3872
Cu5 0.4965 0.8644 0.7206
P1 0.2482 0.5107 0.7293
P2 0.2503 0.8411 0.3879
P3 0.2505 0.8677 0.9954
O1 0.0424 0.6245 0.7178
O2 0.0427 0.9018 0.3129
O3 0.0556 0.7613 0.0293
O4 0.2470 0.9110 0.5363
O5 0.2477 0.3898 0.6027
O6 0.2488 0.4236 0.8605
O7 0.2496 0.0424 0.0709
O8 0.2500 0.9108 0.8391
O9 0.2518 0.6554 0.3872
O10 0.2527 0.1940 0.3807
O11 0.4458 0.7626 0.0307
O12 0.4545 0.6245 0.7182
O13 0.4581 0.9029 0.3152

Peak list (10 most intense, 10 to 90 degrees two-theta, by angle)
- hkl 0 1 0, 10.9°, intensity 100
- hkl 0 1 -1, 13.9°, intensity 42
- hkl 1 -1 0, 18.1°, intensity 37
- hkl 0 0 3, 26.9°, intensity 85
- hkl 0 2 2, 29.0°, intensity 41
- hkl 0 1 3, 29.5°, intensity 57
- hkl 0 3 0, 33.2°, intensity 51
- hkl 2 0 -2, 34.1°, intensity 67
- hkl 2 0 2, 34.2°, intensity 51
- hkl 4 0 0, 59.8°, intensity 38

---

Computed PXRD pattern of Cu2PO5 for λ = 1.5418 Å (Cu Kα), from DFT lattice parameters and positions (GGA-PBE).

Cell: 7.9968 8.5615 5.8132 Å, 90.00 90.00 90.00°
Space group Pnnm (No. 58)
Unique sites:
Cu1 0.0000 0.0000 0.2478
Cu2 0.1518 0.3835 0.5000
P1 0.2298 0.7526 0.5000
O1 0.0948 0.6184 0.5000
O2 0.1222 0.9197 0.0000
O3 0.1335 0.9146 0.5000
O4 0.1633 0.2429 0.2196

Peak list (10 most intense, 10 to 90 degrees two-theta, by angle)
- hkl 1 1 0, 15.2°, intensity 95
- hkl 0 1 1, 18.4°, intensity 100
- hkl 1 0 1, 18.9°, intensity 63
- hkl 1 2 0, 23.6°, intensity 57
- hkl 2 2 0, 30.6°, intensity 84
- hkl 1 3 0, 33.3°, intensity 51
- hkl 1 1 2, 34.5°, intensity 77
- hkl 3 1 0, 35.3°, intensity 44
- hkl 1 3 1, 36.8°, intensity 42
- hkl 2 0 2, 38.3°, intensity 38

---

Computed PXRD pattern of Cu5P2O12 for λ = 1.5418 Å (Cu Kα), from DFT lattice parameters and positions (GGA-PBE).

Cell: 4.6184 5.6032 16.5668 Å, 90.00 91.60 90.00°
Space group P2_1/c (No. 14)
Unique sites:
Cu1 0.0000 0.0000 0.0000
Cu2 0.0150 0.1758 0.2446
Cu3 0.0718 0.5158 0.0836
P1 0.4772 0.0857 0.8681
O1 0.1158 0.5696 0.8190
O2 0.1507 0.6791 0.9861
O3 0.2605 0.0733 0.7909
O4 0.2962 0.1452 0.9428
O5 0.3363 0.1356 0.1286
O6 0.3387 0.6878 0.1490

Peak list (10 most intense, 10 to 90 degrees two-theta, by angle)
- hkl 1 0 0, 19.2°, intensity 100
- hkl 1 1 -1, 25.5°, intensity 31
- hkl 1 0 -4, 28.6°, intensity 47
- hkl 1 0 4, 29.4°, intensity 22
- hkl 1 1 3, 30.1°, intensity 31
- hkl 0 2 2, 33.8°, intensity 19
- hkl 1 0 -6, 37.5°, intensity 61
- hkl 1 2 1, 38.0°, intensity 28
- hkl 2 0 0, 39.0°, intensity 35
- hkl 2 2 -2, 52.3°, intensity 25

---

Q: Number 1 is which compound?
A: CuP3O9